Starting from a cell relaxed with PBE+U, the powder XRD pattern of Rb4Pa3VO12 was simulated for Cu Kα (λ = 1.5418 Å).
Peak positions follow from Bragg's law for the DFT cell and can differ from measured ones.

Main lines, in order of falling intensity (10° ≤ 2θ ≤ 90°):
(hkl), 2theta, I (rel.)
2 2 0, 29.43, 100
4 2 2, 52.21, 42
4 0 0, 42.11, 30
2 0 0, 20.70, 23
6 4 2, 84.47, 22
4 4 0, 61.08, 19

Cell and atoms:
```
data_Rb4Pa3VO12
_chemical_formula_sum 'Rb8 Pa6 V2 O24'
_space_group_name_H-M_alt 'I m -3 m'
_space_group_IT_number 229
_space_group_name_Hall '-I 4 2 3'
_cell_length_a 8.583
_cell_length_b 8.583
_cell_length_c 8.583
_cell_angle_alpha 90.00
_cell_angle_beta 90.00
_cell_angle_gamma 90.00
loop_
_atom_site_label
_atom_site_fract_x
_atom_site_fract_y
_atom_site_fract_z
_atom_site_occupancy
Rb1 0.250 0.250 0.250 1
Pa1 0.000 0.000 0.500 1
V1 0.000 0.000 0.000 1
O1 0.000 0.000 0.233 1
O2 0.000 0.250 0.500 1
```